Entry 1:
HoTe2O5: theoretical XRD peak list (CuKα), based on a crystal structure in Alexandria, relaxed with GGA-PBE.

Crystal structure
```
data_HoTe2O5
_chemical_formula_sum 'Ho4 Te8 O20'
_space_group_name_H-M_alt 'P b c n'
_space_group_IT_number 60
_space_group_name_Hall '-P 2n 2ab'
_cell_length_a 7.3531
_cell_length_b 10.6799
_cell_length_c 7.0243
_cell_angle_alpha 90.00
_cell_angle_beta 90.00
_cell_angle_gamma 90.00
loop_
_atom_site_label
_atom_site_type_symbol
_atom_site_fract_x
_atom_site_fract_y
_atom_site_fract_z
Ho1 Ho 0.0000 0.0558 0.2500
Te1 Te 0.1082 0.3509 0.0158
O1 O 0.0000 0.4382 0.2500
O2 O 0.1580 0.0654 0.5303
O3 O 0.1846 0.2123 0.1718
```

Largest 10 diffraction maxima, by intensity, 5 to 70 degrees two-theta:
h k l  2θ/deg  I (rel.)
1 1 2  29.4  100
2 0 0  24.2  93
2 1 1  28.7  63
1 3 0  27.8  58
0 4 2  42.6  43
1 1 1  19.4  35
1 3 1  30.7  32
3 3 1  46.8  24
2 5 1  51.1  23
4 0 2  56.5  21

Entry 2:
MgNiRh4: theoretical XRD peak list (CuKα), based on a crystal structure in Alexandria, relaxed with GGA-PBE.

Crystal structure
```
data_MgNiRh4
_chemical_formula_sum 'Mg4 Ni4 Rh16'
_space_group_name_H-M_alt 'F -4 3 m'
_space_group_IT_number 216
_space_group_name_Hall 'F -4 2 3'
_cell_length_a 7.2349
_cell_length_b 7.2349
_cell_length_c 7.2349
_cell_angle_alpha 90.00
_cell_angle_beta 90.00
_cell_angle_gamma 90.00
loop_
_atom_site_label
_atom_site_type_symbol
_atom_site_fract_x
_atom_site_fract_y
_atom_site_fract_z
Mg1 Mg 0.0000 0.0000 0.0000
Ni1 Ni 0.2500 0.2500 0.7500
Rh1 Rh 0.1248 0.1248 0.3752
```

Largest 10 diffraction maxima, by intensity, 5 to 70 degrees two-theta:
h k l  2θ/deg  I (rel.)
3 1 1  41.4  100
2 2 2  43.3  69
1 1 1  21.3  57
3 3 3  67.2  30
4 0 0  50.5  20
3 3 1  55.4  12
2 2 0  35.1  9
4 2 2  62.9  3
2 0 0  24.6  2
4 2 0  56.9  1

Entry 3:
Fe6Co5Pd: theoretical XRD peak list (CuKα), based on a crystal structure in Alexandria, relaxed with GGA-PBE.

Crystal structure
```
data_Fe6Co5Pd
_chemical_formula_sum 'Fe12 Co10 Pd2'
_space_group_name_H-M_alt 'I m m m'
_space_group_IT_number 71
_space_group_name_Hall '-I 2 2'
_cell_length_a 4.0222
_cell_length_b 5.9145
_cell_length_c 12.0744
_cell_angle_alpha 90.00
_cell_angle_beta 90.00
_cell_angle_gamma 90.00
loop_
_atom_site_label
_atom_site_type_symbol
_atom_site_fract_x
_atom_site_fract_y
_atom_site_fract_z
Fe1 Fe 0.0000 0.2309 0.0000
Fe2 Fe 0.0000 0.2582 0.3286
Co1 Co 0.0000 0.0000 0.1691
Co2 Co 0.0000 0.5000 0.1624
Co3 Co 0.0000 0.5000 0.5000
Pd1 Pd 0.0000 0.0000 0.5000
```

Largest 10 diffraction maxima, by intensity, 5 to 70 degrees two-theta:
h k l  2θ/deg  I (rel.)
1 2 3  44.2  100
2 0 0  45.1  47
2 0 6  65.6  14
0 4 0  62.8  8
1 1 2  30.7  2
1 1 4  40.4  2
1 1 0  26.8  1
0 1 1  16.7  1
1 0 3  31.4  1
0 0 2  14.7  1

Entry 4:
CdInTeO6: theoretical XRD peak list (CuKα), based on a crystal structure in Alexandria, relaxed with GGA-PBE.

Crystal structure
```
data_CdInTeO6
_chemical_formula_sum 'Cd2 In2 Te2 O12'
_space_group_name_H-M_alt 'P 42 n m'
_space_group_IT_number 102
_space_group_name_Hall 'P 4n -2n'
_cell_length_a 4.9487
_cell_length_b 4.9487
_cell_length_c 9.8806
_cell_angle_alpha 90.00
_cell_angle_beta 90.00
_cell_angle_gamma 90.00
loop_
_atom_site_label
_atom_site_type_symbol
_atom_site_fract_x
_atom_site_fract_y
_atom_site_fract_z
Cd1 Cd 0.0000 0.0000 0.0000
In1 In 0.0000 0.0000 0.6684
Te1 Te 0.0000 0.0000 0.3348
O1 O 0.1799 0.1799 0.4860
O2 O 0.1898 0.1898 0.1904
O3 O 0.2200 0.2200 0.8272
```

Largest 10 diffraction maxima, by intensity, 5 to 70 degrees two-theta:
h k l  2θ/deg  I (rel.)
1 1 0  25.5  100
1 0 3  32.7  81
2 1 3  49.6  66
2 0 0  36.3  23
3 0 3  63.0  19
2 2 0  52.3  16
1 1 6  62.3  15
3 1 0  59.0  15
2 0 6  68.4  8
0 0 6  55.8  8

Entry 5:
Nd8Y5In: theoretical XRD peak list (CuKα), based on a crystal structure in Alexandria, relaxed with GGA-PBE.

Crystal structure
```
data_Nd8Y5In
_chemical_formula_sum 'Nd16 Y10 In2'
_space_group_name_H-M_alt 'C 1 2 1'
_space_group_IT_number 5
_space_group_name_Hall 'C 2y'
_cell_length_a 15.6660
_cell_length_b 8.4594
_cell_length_c 8.4864
_cell_angle_alpha 90.00
_cell_angle_beta 121.32
_cell_angle_gamma 90.00
loop_
_atom_site_label
_atom_site_type_symbol
_atom_site_fract_x
_atom_site_fract_y
_atom_site_fract_z
Nd1 Nd 0.1229 0.0000 0.1783
Nd2 Nd 0.1801 0.4075 0.2256
Nd3 Nd 0.1812 0.7087 0.9173
Nd4 Nd 0.1831 0.2286 0.5726
Y1 Y 0.0000 0.9606 0.5000
Y2 Y 0.0467 0.3050 0.7755
Y3 Y 0.1004 0.6334 0.4532
In1 In 0.0000 0.6545 0.0000
```

Largest 10 diffraction maxima, by intensity, 5 to 70 degrees two-theta:
h k l  2θ/deg  I (rel.)
4 0 -3  32.5  100
5 1 -1  30.8  83
1 1 2  30.6  47
4 2 -1  31.2  42
2 2 -2  29.8  29
2 2 -1  24.5  27
3 1 1  30.4  26
1 3 -1  33.5  22
5 1 -2  31.3  14
6 4 -1  56.7  14

Entry 6:
Pm5Ge3Pb3: theoretical XRD peak list (CuKα), based on a crystal structure in Alexandria, relaxed with GGA-PBE.

Crystal structure
```
data_Pm5Ge3Pb3
_chemical_formula_sum 'Pm5 Ge3 Pb3'
_space_group_name_H-M_alt 'P -6 2 m'
_space_group_IT_number 189
_space_group_name_Hall 'P -6 -2'
_cell_length_a 9.7080
_cell_length_b 9.7080
_cell_length_c 4.2830
_cell_angle_alpha 90.00
_cell_angle_beta 90.00
_cell_angle_gamma 120.00
loop_
_atom_site_label
_atom_site_type_symbol
_atom_site_fract_x
_atom_site_fract_y
_atom_site_fract_z
Pm1 Pm 0.0000 0.2241 0.0000
Pm2 Pm 0.3333 0.6667 0.0000
Ge1 Ge 0.0000 0.6445 0.0000
Pb1 Pb 0.0000 0.4627 0.5000
```

Largest 10 diffraction maxima, by intensity, 5 to 70 degrees two-theta:
h k l  2θ/deg  I (rel.)
2 0 1  29.8  100
2 1 1  35.2  63
2 1 0  28.1  51
3 0 1  38.4  30
0 0 2  42.2  25
3 1 0  38.6  22
1 0 0  10.5  21
4 1 1  54.4  21
3 3 1  61.2  21
2 2 1  42.8  21

Entry 7:
Th3H: theoretical XRD peak list (CuKα), based on a crystal structure in Alexandria, relaxed with GGA-PBE.

Crystal structure
```
data_Th3H
_chemical_formula_sum 'Th6 H2'
_space_group_name_H-M_alt 'I m m 2'
_space_group_IT_number 44
_space_group_name_Hall 'I 2 -2'
_cell_length_a 3.4219
_cell_length_b 9.8470
_cell_length_c 5.9297
_cell_angle_alpha 90.00
_cell_angle_beta 90.00
_cell_angle_gamma 90.00
loop_
_atom_site_label
_atom_site_type_symbol
_atom_site_fract_x
_atom_site_fract_y
_atom_site_fract_z
Th1 Th 0.0000 0.0000 0.0000
Th2 Th 0.0000 0.1794 0.4949
H1 H 0.0000 0.5000 0.8334
```

Largest 10 diffraction maxima, by intensity, 5 to 70 degrees two-theta:
h k l  2θ/deg  I (rel.)
0 3 1  31.1  100
1 2 1  35.3  86
0 0 2  30.1  69
1 1 0  27.6  54
1 1 2  41.3  38
2 3 1  63.3  28
1 2 3  57.0  22
2 0 2  62.7  22
1 5 2  62.8  22
0 3 3  54.2  22

Entry 8:
Pm4SmEr2: theoretical XRD peak list (CuKα), based on a crystal structure in Alexandria, relaxed with GGA-PBE.

Crystal structure
```
data_Pm4SmEr2
_chemical_formula_sum 'Pm16 Sm4 Er8'
_space_group_name_H-M_alt 'I m m a'
_space_group_IT_number 74
_space_group_name_Hall '-I 2b 2'
_cell_length_a 6.8469
_cell_length_b 11.4372
_cell_length_c 12.1295
_cell_angle_alpha 90.00
_cell_angle_beta 90.00
_cell_angle_gamma 90.00
loop_
_atom_site_label
_atom_site_type_symbol
_atom_site_fract_x
_atom_site_fract_y
_atom_site_fract_z
Pm1 Pm 0.0000 0.0025 0.1475
Pm2 Pm 0.2210 0.2500 0.9904
Sm1 Sm 0.2500 0.2500 0.2500
Er1 Er 0.0000 0.0000 0.5000
Er2 Er 0.0000 0.2500 0.7190
```

Largest 10 diffraction maxima, by intensity, 5 to 70 degrees two-theta:
h k l  2θ/deg  I (rel.)
1 2 3  30.0  100
0 4 0  31.3  71
2 2 0  30.4  70
0 2 4  33.4  42
2 6 0  55.2  29
2 1 1  28.2  28
2 2 2  33.9  26
2 1 3  35.2  21
1 0 3  25.6  18
4 4 0  63.3  18

Entry 9:
Ac6Ge2PtS3: theoretical XRD peak list (CuKα), based on a crystal structure in Alexandria, relaxed with GGA-PBE.

Crystal structure
```
data_Ac6Ge2PtS3
_chemical_formula_sum 'Ac12 Ge4 Pt2 S6'
_space_group_name_H-M_alt 'C 1 2/m 1'
_space_group_IT_number 12
_space_group_name_Hall '-C 2y'
_cell_length_a 19.3840
_cell_length_b 4.4665
_cell_length_c 8.9296
_cell_angle_alpha 90.00
_cell_angle_beta 103.65
_cell_angle_gamma 90.00
loop_
_atom_site_label
_atom_site_type_symbol
_atom_site_fract_x
_atom_site_fract_y
_atom_site_fract_z
Ac1 Ac 0.0014 0.0000 0.2535
Ac2 Ac 0.1646 0.5000 0.5840
Ac3 Ac 0.1676 0.5000 0.0844
Ge1 Ge 0.1638 0.0000 0.8313
Pt1 Pt 0.0000 0.5000 0.5000
S1 S 0.0000 0.5000 0.0000
S2 S 0.1697 0.0000 0.3350
```

Largest 10 diffraction maxima, by intensity, 5 to 70 degrees two-theta:
h k l  2θ/deg  I (rel.)
1 1 -2  28.3  100
0 2 0  40.4  77
3 1 0  24.4  52
6 0 0  28.4  49
5 1 2  40.6  38
1 3 -2  66.2  28
6 2 0  50.1  21
4 2 4  66.4  18
2 0 2  24.5  17
2 2 2  47.9  15

Entry 10:
Tl2PPd5: theoretical XRD peak list (CuKα), based on a crystal structure in Alexandria, relaxed with GGA-PBE.

Crystal structure
```
data_Tl2PPd5
_chemical_formula_sum 'Tl8 P4 Pd20'
_space_group_name_H-M_alt 'P n m a'
_space_group_IT_number 62
_space_group_name_Hall '-P 2ac 2n'
_cell_length_a 7.9959
_cell_length_b 5.9733
_cell_length_c 12.2798
_cell_angle_alpha 90.00
_cell_angle_beta 90.00
_cell_angle_gamma 90.00
loop_
_atom_site_label
_atom_site_type_symbol
_atom_site_fract_x
_atom_site_fract_y
_atom_site_fract_z
Tl1 Tl 0.0286 0.2500 0.2090
Tl2 Tl 0.2026 0.7500 0.4082
P1 P 0.1957 0.7500 0.0897
Pd1 Pd 0.0000 0.0000 0.0000
Pd2 Pd 0.0109 0.2500 0.7830
Pd3 Pd 0.0993 0.5127 0.6022
Pd4 Pd 0.2141 0.2500 0.4061
```

Largest 10 diffraction maxima, by intensity, 5 to 70 degrees two-theta:
h k l  2θ/deg  I (rel.)
1 0 5  38.3  100
2 2 2  40.5  81
1 2 2  35.3  56
2 2 3  43.8  47
1 2 3  39.0  44
3 0 1  34.4  37
3 0 2  36.8  36
2 0 4  36.9  34
2 0 2  26.6  29
0 2 2  33.4  25

Entry 11:
Ti4Al5V2: theoretical XRD peak list (CuKα), based on a crystal structure in Alexandria, relaxed with GGA-PBE.

Crystal structure
```
data_Ti4Al5V2
_chemical_formula_sum 'Ti4 Al5 V2'
_space_group_name_H-M_alt 'P 1 2/m 1'
_space_group_IT_number 10
_space_group_name_Hall '-P 2y'
_cell_length_a 7.0303
_cell_length_b 2.8951
_cell_length_c 8.8449
_cell_angle_alpha 90.00
_cell_angle_beta 98.86
_cell_angle_gamma 90.00
loop_
_atom_site_label
_atom_site_type_symbol
_atom_site_fract_x
_atom_site_fract_y
_atom_site_fract_z
Ti1 Ti 0.1645 0.0000 0.3626
Ti2 Ti 0.2906 0.0000 0.9356
Al1 Al 0.1810 0.5000 0.6485
Al2 Al 0.4331 0.5000 0.1993
Al3 Al 0.5000 0.5000 0.5000
V1 V 0.0466 0.5000 0.1188
```

Largest 10 diffraction maxima, by intensity, 5 to 70 degrees two-theta:
h k l  2θ/deg  I (rel.)
2 1 0  40.6  100
1 1 -2  38.4  91
3 0 -1  38.7  80
1 0 -4  41.4  66
0 0 1  10.1  53
2 0 3  43.5  51
2 1 1  42.9  45
1 0 0  12.7  45
1 1 1  35.7  33
0 1 3  44.1  31

Entry 12:
Ga3RhS: theoretical XRD peak list (CuKα), based on a crystal structure in Alexandria, relaxed with GGA-PBE.

Crystal structure
```
data_Ga3RhS
_chemical_formula_sum 'Ga3 Rh1 S1'
_space_group_name_H-M_alt 'P m -3 m'
_space_group_IT_number 221
_space_group_name_Hall '-P 4 2 3'
_cell_length_a 4.7675
_cell_length_b 4.7675
_cell_length_c 4.7675
_cell_angle_alpha 90.00
_cell_angle_beta 90.00
_cell_angle_gamma 90.00
loop_
_atom_site_label
_atom_site_type_symbol
_atom_site_fract_x
_atom_site_fract_y
_atom_site_fract_z
Ga1 Ga 0.0000 0.0000 0.5000
Rh1 Rh 0.0000 0.0000 0.0000
S1 S 0.5000 0.5000 0.5000
```

Largest 10 diffraction maxima, by intensity, 5 to 70 degrees two-theta:
h k l  2θ/deg  I (rel.)
2 0 0  37.7  100
1 0 0  18.6  97
2 2 0  54.4  67
2 1 0  42.4  48
1 1 1  32.5  34
3 0 0  58.0  24
2 2 2  68.1  22
1 1 0  26.4  18
3 1 1  64.9  13
2 1 1  46.7  7